# 1
Simulated X-ray diffraction stick pattern of Ti2CrAgH for Cu Kα (weighted mean of Kα1 and Kα2), from a crystal structure in Alexandria, relaxed with GGA-PBE.

Crystal structure
Lattice parameters (Å, degrees): 4.299 4.299 3.460 90.00 90.00 90.00
Space group P4/mmm (No. 123)
Symmetry-distinct sites (fractional):
Ti 0.000 0.500 0.000
Cr 0.000 0.000 0.500
Ag 0.500 0.500 0.500
H 0.000 0.000 0.000

Peak list (10 most intense, 5° ≤ 2θ ≤ 70°, sorted by position)
20.66 deg, intensity 12, hkl 1 0 0
25.75 deg, intensity 6, hkl 0 0 1
29.38 deg, intensity 9, hkl 1 1 0
33.24 deg, intensity 9, hkl 1 0 1
39.46 deg, intensity 100, hkl 1 1 1
42.03 deg, intensity 42, hkl 2 0 0
52.92 deg, intensity 10, hkl 0 0 2
54.61 deg, intensity 4, hkl 2 1 1
60.95 deg, intensity 13, hkl 2 2 0
69.78 deg, intensity 16, hkl 2 0 2

***

# 2
Simulated X-ray diffraction stick pattern of SrGe3Au3 for Cu Kα (weighted mean of Kα1 and Kα2), from a crystal structure in Alexandria, relaxed with GGA-PBE.

Crystal structure
Lattice parameters (Å, degrees): 7.162 7.162 7.162 90.00 90.00 90.00
Space group Pm-3n (No. 223)
Symmetry-distinct sites (fractional):
Sr 0.000 0.000 0.000
Ge 0.000 0.250 0.500
Au 0.000 0.500 0.250

Peak list (10 most intense, 5° ≤ 2θ ≤ 70°, sorted by position)
17.51 deg, intensity 49, hkl 1 1 0
24.86 deg, intensity 42, hkl 2 0 0
27.86 deg, intensity 57, hkl 2 1 0
30.58 deg, intensity 100, hkl 2 1 1
43.79 deg, intensity 52, hkl 2 2 2
45.67 deg, intensity 16, hkl 3 2 0
47.50 deg, intensity 59, hkl 3 2 1
51.01 deg, intensity 38, hkl 4 0 0
57.55 deg, intensity 17, hkl 4 2 0
59.11 deg, intensity 15, hkl 4 2 1

***

# 3
Simulated X-ray diffraction stick pattern of CdAg2W for Cu Kα (weighted mean of Kα1 and Kα2), from a crystal structure in Alexandria, relaxed with GGA-PBE.

Crystal structure
Lattice parameters (Å, degrees): 2.770 4.277 6.027 90.00 90.00 90.00
Space group Pmm2 (No. 25)
Symmetry-distinct sites (fractional):
Cd 0.000 0.000 0.000
Ag 0.000 0.000 0.491
Ag 0.500 0.500 0.745
W 0.500 0.500 0.260

Peak list (10 most intense, 5° ≤ 2θ ≤ 70°, sorted by position)
14.70 deg, intensity 9, hkl 0 0 1
20.77 deg, intensity 3, hkl 0 1 0
25.54 deg, intensity 4, hkl 0 1 1
36.47 deg, intensity 100, hkl 0 1 2
38.73 deg, intensity 85, hkl 1 1 0
42.26 deg, intensity 33, hkl 0 2 0
44.42 deg, intensity 57, hkl 1 0 2
61.54 deg, intensity 10, hkl 0 0 4
62.98 deg, intensity 39, hkl 1 2 2
67.66 deg, intensity 8, hkl 2 0 0